No. 1
Structure and theoretical X-ray diffraction stick pattern of CrRu (the PBE geometry in the Materials Project; Cu Kα, 1.54184 Å).
Peak positions follow from Bragg's law for the DFT cell and can differ from measured ones.

Atomic structure:
```
CrRu
1.0
2.6637 0.0000 0.0000
-1.3319 2.3069 0.0000
0.0000 0.0000 4.2180
Cr Ru
1 1
Direct
0.0000 0.0000 0.0000
0.6667 0.3333 0.5000
```

Main lines, by intensity (5° ≤ 2θ ≤ 70°):
Position (°2θ)	I_rel
44.8	100.0
39.0	31.5
42.9	24.5
59.4	18.0
21.1	15.5
66.5	0.8



No. 2
Structure and theoretical X-ray diffraction stick pattern of K2LiCeCl6 (the PBE geometry in the Materials Project; Cu Kα, 1.54184 Å).
Peak positions follow from Bragg's law for the DFT cell and can differ from measured ones.

Atomic structure:
```
K2LiCeCl6
1.0
0.0000 5.2999 5.2999
5.2999 0.0000 5.2999
5.2999 5.2999 0.0000
K Li Ce Cl
2 1 1 6
Direct
0.2500 0.2500 0.2500
0.7500 0.7500 0.7500
0.0000 0.0000 0.0000
0.5000 0.5000 0.5000
0.2422 0.2422 0.7578
0.2422 0.7578 0.2422
0.2422 0.7578 0.7578
0.7578 0.2422 0.2422
0.7578 0.2422 0.7578
0.7578 0.7578 0.2422
```

Main lines, by intensity (5° ≤ 2θ ≤ 70°):
Position (°2θ)	I_rel
33.8	100.0
14.5	80.1
27.9	64.9
48.6	64.8
23.7	61.0
16.7	55.7
37.0	37.2
41.7	27.4
38.0	26.8
29.2	25.7



No. 3
Structure and theoretical X-ray diffraction stick pattern of LiTaF6 (the PBE geometry in the Materials Project; Cu Kα, 1.54184 Å).
Peak positions follow from Bragg's law for the DFT cell and can differ from measured ones.

Atomic structure:
```
LiTaF6
1.0
2.7335 1.5782 4.5911
-2.7335 1.5782 4.5911
0.0000 -3.1564 4.5911
Li Ta F
1 1 6
Direct
0.0000 0.0000 0.0000
0.5000 0.5000 0.5000
0.1832 0.7404 0.3346
0.2596 0.6654 0.8168
0.3346 0.1832 0.7404
0.6654 0.8168 0.2596
0.7404 0.3346 0.1832
0.8168 0.2596 0.6654
```

Main lines, by intensity (5° ≤ 2θ ≤ 70°):
Position (°2θ)	I_rel
22.8	100.0
19.8	95.1
38.3	37.7
19.3	33.5
52.0	23.7
46.6	22.1
32.1	20.8
52.9	17.7
37.8	16.9
38.6	15.8



No. 4
Structure and theoretical X-ray diffraction stick pattern of SrCaGaBiO6 (the PBE geometry in the Materials Project; Cu Kα, 1.54184 Å).
Peak positions follow from Bragg's law for the DFT cell and can differ from measured ones.

Atomic structure:
```
SrCaGaBiO6
1.0
0.0000 4.0679 4.0679
4.0679 0.0000 4.0679
4.0679 4.0679 0.0000
Sr Ca Ga Bi O
1 1 1 1 6
Direct
0.0000 0.0000 0.0000
0.5000 0.5000 0.5000
0.7500 0.7500 0.7500
0.2500 0.2500 0.2500
0.5076 0.5076 0.9924
0.5076 0.9924 0.5076
0.5076 0.9924 0.9924
0.9924 0.5076 0.5076
0.9924 0.5076 0.9924
0.9924 0.9924 0.5076
```

Main lines, by intensity (5° ≤ 2θ ≤ 70°):
Position (°2θ)	I_rel
31.1	100.0
55.3	40.3
44.5	33.0
21.8	28.0
18.9	27.5
64.8	20.1
36.6	18.6
50.1	12.5
48.8	9.2
68.2	6.3



No. 5
Structure and theoretical X-ray diffraction stick pattern of Ti5Ge3 (the PBE geometry in the Materials Project; Cu Kα, 1.54184 Å).
Peak positions follow from Bragg's law for the DFT cell and can differ from measured ones.

Atomic structure:
```
Ti5Ge3
1.0
7.5907 0.0000 0.0000
-3.7954 6.5738 0.0000
0.0000 0.0000 5.2267
Ti Ge
10 6
Direct
0.0000 0.2509 0.2500
0.0000 0.7491 0.7500
0.2509 0.0000 0.2500
0.2509 0.2509 0.7500
0.3333 0.6667 0.0000
0.3333 0.6667 0.5000
0.6667 0.3333 0.0000
0.6667 0.3333 0.5000
0.7491 0.0000 0.7500
0.7491 0.7491 0.2500
0.0000 0.3896 0.7500
0.0000 0.6104 0.2500
0.3896 0.0000 0.7500
0.3896 0.3896 0.2500
0.6104 0.0000 0.2500
0.6104 0.6104 0.7500
```

Main lines, by intensity (5° ≤ 2θ ≤ 70°):
Position (°2θ)	I_rel
40.2	100.0
42.0	76.0
41.2	57.7
34.3	28.4
53.2	25.7
65.4	21.7
36.2	20.3
29.1	19.3
13.5	18.7
60.3	13.5



No. 6
Structure and theoretical X-ray diffraction stick pattern of TbAlGe2O7 (the PBE geometry in the Materials Project; Cu Kα, 1.54184 Å).
Peak positions follow from Bragg's law for the DFT cell and can differ from measured ones.

Atomic structure:
```
TbAlGe2O7
1.0
7.2199 0.0000 0.0000
0.0000 6.5396 0.0000
-5.8907 0.0000 11.2664
Tb Al Ge O
4 4 8 28
Direct
0.2418 0.1458 0.4719
0.2418 0.3542 0.9719
0.7582 0.6458 0.0281
0.7582 0.8542 0.5281
0.2109 0.1017 0.7288
0.2109 0.3983 0.2288
0.7891 0.6017 0.7712
0.7891 0.8983 0.2712
0.2121 0.6578 0.4523
0.2121 0.8422 0.9523
0.3024 0.5899 0.7212
0.3024 0.9101 0.2212
0.6976 0.0899 0.7788
0.6976 0.4101 0.2788
0.7879 0.1578 0.0477
0.7879 0.3422 0.5477
0.0102 0.6553 0.9176
0.0102 0.8447 0.4176
0.1562 0.6820 0.1867
0.1562 0.8180 0.6867
0.2059 0.0562 0.8671
0.2059 0.4438 0.3671
0.2220 0.1156 0.2799
0.2220 0.3844 0.7799
0.2489 0.0038 0.0744
0.2489 0.4962 0.5744
0.4107 0.6716 0.9775
0.4107 0.8284 0.4775
0.4247 0.1242 0.6932
0.4247 0.3758 0.1932
0.5753 0.6242 0.8068
0.5753 0.8758 0.3068
0.5893 0.1716 0.5225
0.5893 0.3284 0.0225
0.7511 0.5038 0.4256
0.7511 0.9962 0.9256
0.7780 0.6156 0.2201
0.7780 0.8844 0.7201
0.7941 0.5562 0.6329
0.7941 0.9438 0.1329
0.8438 0.1820 0.3133
0.8438 0.3180 0.8133
0.9898 0.1553 0.5824
0.9898 0.3447 0.0824
```

Main lines, by intensity (5° ≤ 2θ ≤ 70°):
Position (°2θ)	I_rel
27.9	100.0
30.0	96.7
28.1	58.8
15.7	53.3
33.4	36.5
31.8	33.9
48.4	33.8
31.1	31.0
36.4	28.4
24.8	26.9



Number 4 is which compound?
SrCaGaBiO6



Repeat the first record exactly.
Structure and theoretical X-ray diffraction stick pattern of CrRu (the PBE geometry in the Materials Project; Cu Kα, 1.54184 Å).
Peak positions follow from Bragg's law for the DFT cell and can differ from measured ones.

Atomic structure:
```
CrRu
1.0
2.6637 0.0000 0.0000
-1.3319 2.3069 0.0000
0.0000 0.0000 4.2180
Cr Ru
1 1
Direct
0.0000 0.0000 0.0000
0.6667 0.3333 0.5000
```

Main lines, by intensity (5° ≤ 2θ ≤ 70°):
Position (°2θ)	I_rel
44.8	100.0
39.0	31.5
42.9	24.5
59.4	18.0
21.1	15.5
66.5	0.8



Please write out number 4 again, unchanged.
Structure and theoretical X-ray diffraction stick pattern of SrCaGaBiO6 (the PBE geometry in the Materials Project; Cu Kα, 1.54184 Å).
Peak positions follow from Bragg's law for the DFT cell and can differ from measured ones.

Atomic structure:
```
SrCaGaBiO6
1.0
0.0000 4.0679 4.0679
4.0679 0.0000 4.0679
4.0679 4.0679 0.0000
Sr Ca Ga Bi O
1 1 1 1 6
Direct
0.0000 0.0000 0.0000
0.5000 0.5000 0.5000
0.7500 0.7500 0.7500
0.2500 0.2500 0.2500
0.5076 0.5076 0.9924
0.5076 0.9924 0.5076
0.5076 0.9924 0.9924
0.9924 0.5076 0.5076
0.9924 0.5076 0.9924
0.9924 0.9924 0.5076
```

Main lines, by intensity (5° ≤ 2θ ≤ 70°):
Position (°2θ)	I_rel
31.1	100.0
55.3	40.3
44.5	33.0
21.8	28.0
18.9	27.5
64.8	20.1
36.6	18.6
50.1	12.5
48.8	9.2
68.2	6.3